No. 1
Pr2In3Sn3: calculated X-ray diffraction stick pattern (Cu Kα (λ = 1.5418 Å)), based on a DFT-relaxed cell (PBE, Alexandria).
Kinematic intensities with the Lorentz-polarization factor, no thermal factor.

Cell and atoms:
Unit cell a=4.668 b=4.758 c=9.740 alpha=90.00 beta=90.00 gamma=90.00
Space group Pmmm (No. 47)
One atom of each set of equivalent atoms:
Pr (0.000, 0.000, 0.244) x2
In (0.000, 0.500, 0.000) x1
In (0.000, 0.500, 0.500) x1
In (0.500, 0.000, 0.500) x1
Sn (0.500, 0.000, 0.000) x1
Sn (0.500, 0.500, 0.252) x2

Top 6 peaks for 2θ = 10–80°, low angle first:
- hkl 1 1 2, 2θ = 32.56°, intensity 100
- hkl 0 0 4, 2θ = 36.92°, intensity 18
- hkl 0 2 0, 2θ = 37.82°, intensity 17
- hkl 2 0 0, 2θ = 38.58°, intensity 16
- hkl 1 1 6, 2θ = 63.78°, intensity 14
- hkl 1 3 2, 2θ = 64.99°, intensity 14


No. 2
Pr5In2Sn5: calculated X-ray diffraction stick pattern (Cu Kα (λ = 1.5418 Å)), based on a DFT-relaxed cell (PBE, Alexandria).
Kinematic intensities with the Lorentz-polarization factor, no thermal factor.

Cell and atoms:
Unit cell a=16.580 b=4.687 c=11.872 alpha=90.00 beta=129.15 gamma=90.00
Space group C2/m (No. 12)
One atom of each set of equivalent atoms:
Pr (0.000, 0.000, 0.000) x2
Pr (0.106, 0.000, 0.423) x4
Pr (0.200, 0.000, 0.832) x4
In (0.139, 0.500, 0.251) x4
Sn (0.000, 0.500, 0.500) x2
Sn (0.069, 0.500, 0.848) x4
Sn (0.239, 0.500, 0.680) x4

Top 6 peaks for 2θ = 10–80°, low angle first:
- hkl 3 1 -3, 2θ = 29.65°, intensity 100
- hkl 2 0 2, 2θ = 30.18°, intensity 45
- hkl 1 1 2, 2θ = 30.99°, intensity 46
- hkl 1 1 -3, 2θ = 31.73°, intensity 29
- hkl 5 1 -1, 2θ = 35.36°, intensity 89
- hkl 0 2 0, 2θ = 38.41°, intensity 48


No. 3
Pr2In3Sn3: calculated X-ray diffraction stick pattern (Cu Kα (λ = 1.5418 Å)), based on a DFT-relaxed cell (PBE, Alexandria).
Kinematic intensities with the Lorentz-polarization factor, no thermal factor.

Cell and atoms:
Unit cell a=4.702 b=4.894 c=9.389 alpha=90.00 beta=90.00 gamma=90.00
Space group Pmmm (No. 47)
One atom of each set of equivalent atoms:
Pr (0.000, 0.000, 0.249) x2
In (0.000, 0.500, 0.500) x1
In (0.500, 0.500, 0.254) x2
Sn (0.000, 0.500, 0.000) x1
Sn (0.500, 0.000, 0.000) x1
Sn (0.500, 0.000, 0.500) x1

Top 6 peaks for 2θ = 10–80°, low angle first:
- hkl 1 1 2, 2θ = 32.58°, intensity 100
- hkl 0 2 0, 2θ = 36.73°, intensity 18
- hkl 2 0 0, 2θ = 38.32°, intensity 32
- hkl 2 2 0, 2θ = 54.12°, intensity 24
- hkl 1 3 2, 2θ = 63.54°, intensity 15
- hkl 3 1 2, 2θ = 65.68°, intensity 26


No. 4
Pr8InSn5: calculated X-ray diffraction stick pattern (Cu Kα (λ = 1.5418 Å)), based on a DFT-relaxed cell (PBE, Alexandria).
Kinematic intensities with the Lorentz-polarization factor, no thermal factor.

Cell and atoms:
Unit cell a=9.677 b=9.677 c=9.694 alpha=90.00 beta=90.00 gamma=90.00
Space group I-4 (No. 82)
One atom of each set of equivalent atoms:
Pr (0.068, 0.323, 0.053) x8
Pr (0.073, 0.182, 0.692) x8
In (0.000, 0.000, 0.000) x2
Sn (0.000, 0.500, 0.750) x2
Sn (0.126, 0.248, 0.373) x8

Top 6 peaks for 2θ = 10–80°, low angle first:
- hkl 3 1 0, 2θ = 29.17°, intensity 100
- hkl 2 1 3, 2θ = 34.66°, intensity 65
- hkl 2 4 2, 2θ = 45.91°, intensity 17
- hkl 3 4 1, 2θ = 47.90°, intensity 24
- hkl 1 1 6, 2θ = 58.77°, intensity 18
- hkl 1 4 5, 2θ = 62.13°, intensity 15


No. 5
Pr12In5Sn2: calculated X-ray diffraction stick pattern (Cu Kα (λ = 1.5418 Å)), based on a DFT-relaxed cell (PBE, Alexandria).
Kinematic intensities with the Lorentz-polarization factor, no thermal factor.

Cell and atoms:
Unit cell a=18.799 b=7.101 c=9.548 alpha=90.00 beta=91.81 gamma=90.00
Space group C2/m (No. 12)
One atom of each set of equivalent atoms:
Pr (0.017, 0.000, 0.308) x4
Pr (0.060, 0.500, 0.207) x4
Pr (0.153, 0.255, 0.528) x8
Pr (0.165, 0.250, 0.943) x8
In (0.000, 0.500, 0.500) x2
In (0.210, 0.000, 0.251) x4
In (0.232, 0.500, 0.258) x4
Sn (0.000, 0.200, 0.000) x4

Top 6 peaks for 2θ = 10–80°, low angle first:
- hkl 6 0 0, 2θ = 28.53°, intensity 53
- hkl 2 0 3, 2θ = 29.94°, intensity 21
- hkl 0 2 2, 2θ = 31.40°, intensity 100
- hkl 4 2 0, 2θ = 31.59°, intensity 38
- hkl 6 0 -2, 2θ = 33.71°, intensity 25
- hkl 6 2 0, 2θ = 38.33°, intensity 24


No. 6
SrPrIn6: calculated X-ray diffraction stick pattern (Cu Kα (λ = 1.5418 Å)), based on a DFT-relaxed cell (PBE, Alexandria).
Kinematic intensities with the Lorentz-polarization factor, no thermal factor.

Cell and atoms:
Unit cell a=4.793 b=4.793 c=9.615 alpha=90.00 beta=90.00 gamma=90.00
Space group P4/mmm (No. 123)
One atom of each set of equivalent atoms:
Sr (0.000, 0.000, 0.000) x1
Pr (0.000, 0.000, 0.500) x1
In (0.000, 0.500, 0.254) x4
In (0.500, 0.500, 0.000) x1
In (0.500, 0.500, 0.500) x1

Top 6 peaks for 2θ = 10–80°, low angle first:
- hkl 1 1 2, 2θ = 32.32°, intensity 100
- hkl 0 0 4, 2θ = 37.41°, intensity 17
- hkl 2 0 0, 2θ = 37.53°, intensity 33
- hkl 2 2 0, 2θ = 54.06°, intensity 34
- hkl 1 1 6, 2θ = 64.30°, intensity 13
- hkl 3 1 2, 2θ = 64.45°, intensity 26


No. 7
SrPrTlIn: calculated X-ray diffraction stick pattern (Cu Kα (λ = 1.5418 Å)), based on a DFT-relaxed cell (PBE, Alexandria).
Kinematic intensities with the Lorentz-polarization factor, no thermal factor.

Cell and atoms:
Unit cell a=3.966 b=3.966 c=8.140 alpha=90.00 beta=90.00 gamma=90.00
Space group P4mm (No. 99)
One atom of each set of equivalent atoms:
Sr (0.000, 0.000, 0.000) x1
Pr (0.000, 0.000, 0.496) x1
Tl (0.500, 0.500, 0.737) x1
In (0.500, 0.500, 0.262) x1

Top 6 peaks for 2θ = 10–80°, low angle first:
- hkl 0 0 1, 2θ = 10.87°, intensity 12
- hkl 1 0 2, 2θ = 31.50°, intensity 100
- hkl 1 1 0, 2θ = 31.91°, intensity 49
- hkl 2 0 0, 2θ = 45.76°, intensity 18
- hkl 1 1 4, 2θ = 55.82°, intensity 19
- hkl 2 1 2, 2θ = 56.61°, intensity 38


No. 8
TbPr4In4: calculated X-ray diffraction stick pattern (Cu Kα (λ = 1.5418 Å)), based on a DFT-relaxed cell (PBE, Alexandria).
Kinematic intensities with the Lorentz-polarization factor, no thermal factor.

Cell and atoms:
Unit cell a=7.295 b=7.295 c=10.955 alpha=90.00 beta=90.00 gamma=90.00
Space group P4_2/nmc (No. 137, origin choice 2)
One atom of each set of equivalent atoms:
Tb (0.250, 0.750, 0.250) x2
Pr (0.028, 0.250, 0.178) x8
In (0.004, 0.250, 0.483) x8

Top 6 peaks for 2θ = 10–80°, low angle first:
- hkl 1 0 2, 2θ = 20.27°, intensity 13
- hkl 2 1 1, 2θ = 28.55°, intensity 55
- hkl 2 0 3, 2θ = 34.77°, intensity 100
- hkl 1 0 4, 2θ = 34.99°, intensity 13
- hkl 4 0 0, 2θ = 50.00°, intensity 21
- hkl 2 2 6, 2θ = 62.33°, intensity 37


No. 9
TbPr2In2: calculated X-ray diffraction stick pattern (Cu Kα (λ = 1.5418 Å)), based on a DFT-relaxed cell (PBE, Alexandria).
Kinematic intensities with the Lorentz-polarization factor, no thermal factor.

Cell and atoms:
Unit cell a=5.057 b=7.128 c=8.551 alpha=90.00 beta=90.00 gamma=90.00
Space group Immm (No. 71)
One atom of each set of equivalent atoms:
Tb (0.000, 0.000, 0.000) x2
Pr (0.000, 0.500, 0.194) x4
In (0.000, 0.211, 0.500) x4

Top 6 peaks for 2θ = 10–80°, low angle first:
- hkl 1 1 2, 2θ = 30.10°, intensity 100
- hkl 1 2 1, 2θ = 32.47°, intensity 95
- hkl 0 1 3, 2θ = 33.87°, intensity 24
- hkl 2 0 0, 2θ = 35.50°, intensity 40
- hkl 0 3 3, 2θ = 49.93°, intensity 37
- hkl 1 2 5, 2θ = 63.03°, intensity 27


No. 10
Tb2Pr7In2: calculated X-ray diffraction stick pattern (Cu Kα (λ = 1.5418 Å)), based on a DFT-relaxed cell (PBE, Alexandria).
Kinematic intensities with the Lorentz-polarization factor, no thermal factor.

Cell and atoms:
Unit cell a=3.731 b=17.871 c=11.398 alpha=90.00 beta=90.00 gamma=90.00
Space group Imm2 (No. 44)
One atom of each set of equivalent atoms:
Tb (0.000, 0.225, 0.000) x4
Pr (0.000, 0.000, 0.951) x2
Pr (0.000, 0.105, 0.514) x4
Pr (0.000, 0.322, 0.263) x4
Pr (0.000, 0.351, 0.732) x4
In (0.000, 0.000, 0.258) x2
In (0.000, 0.500, 0.208) x2

Top 6 peaks for 2θ = 10–80°, low angle first:
- hkl 0 5 1, 2θ = 26.13°, intensity 61
- hkl 1 1 2, 2θ = 29.04°, intensity 95
- hkl 0 0 4, 2θ = 31.39°, intensity 77
- hkl 1 4 1, 2θ = 32.23°, intensity 100
- hkl 1 3 2, 2θ = 32.38°, intensity 79
- hkl 0 6 2, 2θ = 33.96°, intensity 64


No. 11
Tb4Pr9In11: calculated X-ray diffraction stick pattern (Cu Kα (λ = 1.5418 Å)), based on a DFT-relaxed cell (PBE, Alexandria).
Kinematic intensities with the Lorentz-polarization factor, no thermal factor.

Cell and atoms:
Unit cell a=18.214 b=21.655 c=3.566 alpha=90.00 beta=90.00 gamma=90.00
Space group Cmmm (No. 65)
One atom of each set of equivalent atoms:
Tb (0.153, 0.085, 0.000) x8
Pr (0.000, 0.000, 0.000) x2
Pr (0.116, 0.242, 0.000) x8
Pr (0.122, 0.413, 0.000) x8
In (0.000, 0.135, 0.500) x4
In (0.000, 0.333, 0.500) x4
In (0.000, 0.500, 0.500) x2
In (0.240, 0.500, 0.500) x4
In (0.245, 0.324, 0.500) x8

Top 6 peaks for 2θ = 10–80°, low angle first:
- hkl 4 6 0, 2θ = 31.63°, intensity 100
- hkl 4 0 1, 2θ = 31.88°, intensity 83
- hkl 0 6 1, 2θ = 35.40°, intensity 69
- hkl 8 0 0, 2θ = 39.58°, intensity 20
- hkl 8 6 1, 2θ = 54.13°, intensity 22
- hkl 4 6 2, 2θ = 61.48°, intensity 26


No. 12
Tb4PrIn4: calculated X-ray diffraction stick pattern (Cu Kα (λ = 1.5418 Å)), based on a DFT-relaxed cell (PBE, Alexandria).
Kinematic intensities with the Lorentz-polarization factor, no thermal factor.

Cell and atoms:
Unit cell a=7.294 b=7.294 c=10.625 alpha=90.00 beta=90.00 gamma=90.00
Space group P4_2/nmc (No. 137, origin choice 2)
One atom of each set of equivalent atoms:
Tb (0.018, 0.250, 0.161) x8
Pr (0.250, 0.750, 0.250) x2
In (0.037, 0.250, 0.459) x8

Top 6 peaks for 2θ = 10–80°, low angle first:
- hkl 2 1 1, 2θ = 28.62°, intensity 99
- hkl 2 2 0, 2θ = 34.79°, intensity 47
- hkl 2 0 3, 2θ = 35.32°, intensity 100
- hkl 1 0 4, 2θ = 35.98°, intensity 30
- hkl 4 0 0, 2θ = 50.02°, intensity 26
- hkl 4 2 3, 2θ = 62.71°, intensity 30